The following is a calculated powder XRD pattern of Ac2Tb3Cd4. It was derived from a structure optimized by DFT (PBE), using CuKα.

Top 10 peaks for 2θ = 5–70°, sorted by position:
2θ = 28.3°, d 3.155, I = 55, hkl 1 3 2; 2θ = 28.9°, d 3.087, I = 95, hkl 1 5 1; 2θ = 29.1°, d 3.069, I = 52, hkl 2 2 1; 2θ = 31.8°, d 2.811, I = 27, hkl 2 4 0; 2θ = 32.8°, d 2.728, I = 37, hkl 0 2 3; 2θ = 33.0°, d 2.714, I = 100, hkl 2 0 2; 2θ = 35.6°, d 2.524, I = 43, hkl 0 6 2; 2θ = 47.0°, d 1.935, I = 25, hkl 3 5 1; 2θ = 55.5°, d 1.655, I = 28, hkl 2 10 0; 2θ = 58.5°, d 1.577, I = 49, hkl 2 6 4

Lattice parameters (Å, degrees): 7.0224 18.7628 8.5526 90.00 90.00 90.00
Space group Cmce (No. 64)
Asymmetric unit:
Ac 0.0000 0.0956 0.0989
Tb 0.0000 0.0000 0.5000
Tb 0.2500 0.2426 0.7500
Cd 0.0000 0.1660 0.4881
Cd 0.2500 0.0730 0.7500